Entry 1:
Structure and computed powder XRD pattern of La2MnPt (a PBE-relaxed structure; a wavelength of 1.5418 Å).
Lines closer than 0.1° are merged.

Structure:
Cell: 5.019 5.019 5.019 Å, 60.00 60.00 60.00°
Fractional coordinates of all 4 atoms:
La 0.000 0.000 0.000
La 0.250 0.250 0.250
Mn 0.750 0.750 0.750
Pt 0.500 0.500 0.500

Principal peaks in the range 5° ≤ 2θ ≤ 70°, by angle:
two_theta	d_spacing	intensity
21.69	4.098	8.0
25.09	3.549	8.2
35.78	2.510	100.0
42.23	2.140	4.5
44.20	2.049	2.6
51.50	1.775	17.6
56.51	1.628	2.0
58.12	1.587	3.6
64.29	1.449	35.9
68.71	1.366	1.5

Entry 2:
Structure and computed powder XRD pattern of Ac3Cd2 (a PBE-relaxed structure; a wavelength of 1.5418 Å).
Lines closer than 0.1° are merged.

Structure:
Cell: 4.059 4.059 21.972 Å, 90.00 90.00 90.00°
Fractional coordinates of all 10 atoms:
Ac 0.000 0.000 0.000
Ac 0.000 0.000 0.186
Ac 0.000 0.000 0.373
Ac 0.000 0.000 0.627
Ac 0.000 0.000 0.814
Ac 0.500 0.500 0.500
Cd 0.500 0.500 0.093
Cd 0.500 0.500 0.281
Cd 0.500 0.500 0.719
Cd 0.500 0.500 0.907

Principal peaks in the range 5° ≤ 2θ ≤ 70°, by angle:
two_theta	d_spacing	intensity
21.90	4.059	7.6
27.32	3.265	11.1
29.97	2.982	100.0
31.16	2.870	59.9
32.94	2.719	14.3
44.65	2.030	22.5
52.45	1.745	8.3
54.71	1.678	37.5
56.10	1.640	10.2
64.98	1.435	7.4

Entry 3:
Structure and computed powder XRD pattern of Ba8InPtAu2 (a PBE-relaxed structure; a wavelength of 1.5418 Å).
Lines closer than 0.1° are merged.

Structure:
Cell: 7.695 9.970 7.935 Å, 90.00 90.81 90.00°
Fractional coordinates of all 12 atoms:
Ba 0.224 0.000 0.341
Ba 0.237 0.500 0.318
Ba 0.274 0.274 0.827
Ba 0.274 0.726 0.827
Ba 0.726 0.274 0.173
Ba 0.726 0.726 0.173
Ba 0.763 0.500 0.682
Ba 0.776 0.000 0.659
In 0.500 0.000 0.000
Pt 0.500 0.500 0.000
Au 0.000 0.255 0.500
Au 0.000 0.745 0.500

Principal peaks in the range 5° ≤ 2θ ≤ 70°, by angle:
two_theta	d_spacing	intensity
15.93	5.563	78.8
16.16	5.485	75.3
21.24	4.184	42.5
23.97	3.712	100.0
24.13	3.689	66.8
25.41	3.506	41.5
31.34	2.854	71.2
31.58	2.833	72.8
36.04	2.492	55.6
38.54	2.336	87.9

Entry 4:
Structure and computed powder XRD pattern of CaLaB6C6 (a PBE-relaxed structure; a wavelength of 1.5418 Å).
Lines closer than 0.1° are merged.

Structure:
Cell: 4.854 4.854 4.854 Å, 90.00 90.00 90.00°
Fractional coordinates of all 14 atoms:
Ca 0.000 0.000 0.000
La 0.500 0.500 0.500
B 0.000 0.246 0.500
B 0.000 0.754 0.500
B 0.246 0.500 0.000
B 0.500 0.000 0.246
B 0.500 0.000 0.754
B 0.754 0.500 0.000
C 0.000 0.500 0.250
C 0.000 0.500 0.750
C 0.250 0.000 0.500
C 0.500 0.250 0.000
C 0.500 0.750 0.000
C 0.750 0.000 0.500

Principal peaks in the range 5° ≤ 2θ ≤ 70°, by angle:
two_theta	d_spacing	intensity
18.28	4.854	51.5
25.96	3.432	99.7
31.93	2.802	18.7
37.04	2.427	47.7
41.60	2.171	27.1
45.79	1.982	100.0
53.39	1.716	15.3
56.91	1.618	13.9
60.30	1.535	21.3
63.57	1.464	8.0

Entry 5:
Structure and computed powder XRD pattern of AcNdRuBr (a PBE-relaxed structure; a wavelength of 1.5418 Å).
Lines closer than 0.1° are merged.

Structure:
Cell: 8.506 8.506 8.506 Å, 28.45 28.45 28.45°
Fractional coordinates of all 4 atoms:
Ac 0.000 0.000 0.000
Nd 0.204 0.204 0.204
Ru 0.600 0.600 0.600
Br 0.775 0.775 0.775

Principal peaks in the range 5° ≤ 2θ ≤ 70°, by angle:
two_theta	d_spacing	intensity
10.85	8.156	32.4
24.87	3.581	21.8
25.66	3.471	14.8
28.66	3.115	29.4
30.72	2.910	100.0
35.71	2.514	10.2
43.29	2.090	42.7
44.72	2.027	34.6
54.02	1.698	20.5
55.46	1.657	12.7

Entry 6:
Structure and computed powder XRD pattern of CaYSc (a PBE-relaxed structure; a wavelength of 1.5418 Å).
Lines closer than 0.1° are merged.

Structure:
Cell: 7.853 7.853 7.853 Å, 153.51 153.51 37.82°
Fractional coordinates of all 3 atoms:
Ca 0.000 0.000 0.000
Y 0.688 0.688 0.000
Sc 0.329 0.329 0.000

Principal peaks in the range 5° ≤ 2θ ≤ 70°, by angle:
two_theta	d_spacing	intensity
11.91	7.429	21.2
25.47	3.498	11.4
30.71	2.911	100.0
35.27	2.545	35.6
36.28	2.476	13.4
50.73	1.799	11.9
51.49	1.775	18.4
60.48	1.531	25.7
61.83	1.500	10.9
63.95	1.456	9.2

Entry 7:
Structure and computed powder XRD pattern of NaLiB4O7 (a PBE-relaxed structure; a wavelength of 1.5418 Å).
Lines closer than 0.1° are merged.

Structure:
Cell: 8.864 8.490 9.818 Å, 57.37 53.77 68.87°
Fractional coordinates of all 52 atoms:
Na 0.142 0.858 0.339
Na 0.589 0.911 0.392
Na 0.858 0.142 0.661
Na 0.911 0.589 0.108
Li 0.124 0.391 0.613
Li 0.377 0.637 0.859
Li 0.391 0.124 0.873
Li 0.637 0.377 0.126
B 0.010 0.171 0.081
B 0.086 0.862 0.066
B 0.169 0.512 0.240
B 0.171 0.010 0.738
B 0.184 0.264 0.164
B 0.264 0.184 0.388
B 0.338 0.565 0.607
B 0.495 0.641 0.266
B 0.512 0.169 0.079
B 0.565 0.338 0.490
B 0.641 0.495 0.597
B 0.643 0.760 0.912
B 0.653 0.984 0.609
B 0.760 0.643 0.685
B 0.862 0.086 0.986
B 0.984 0.653 0.755
O 0.020 0.136 0.787
O 0.037 0.273 0.133
O 0.117 0.694 0.213
O 0.136 0.020 0.057
O 0.141 0.141 0.359
O 0.153 0.609 0.743
O 0.193 0.463 0.114
O 0.201 0.377 0.386
O 0.214 0.864 0.873
O 0.273 0.037 0.556
O 0.369 0.369 0.631
O 0.377 0.201 0.036
O 0.377 0.696 0.410
O 0.463 0.193 0.230
O 0.472 0.601 0.633
O 0.507 0.755 0.097
O 0.601 0.472 0.294
O 0.609 0.153 0.495
O 0.617 0.956 0.778
O 0.619 0.619 0.881
O 0.694 0.117 0.977
O 0.696 0.377 0.518
O 0.732 0.840 0.554
O 0.755 0.507 0.641
O 0.840 0.732 0.873
O 0.864 0.214 0.049
O 0.891 0.891 0.109
O 0.956 0.617 0.649

Principal peaks in the range 5° ≤ 2θ ≤ 70°, by angle:
two_theta	d_spacing	intensity
21.08	4.215	30.4
21.60	4.113	100.0
24.95	3.568	55.4
32.56	2.750	71.0
33.13	2.704	29.0
33.26	2.694	49.4
36.70	2.449	22.3
41.56	2.173	32.4
44.06	2.055	25.6
52.21	1.752	18.4

Entry 8:
Structure and computed powder XRD pattern of KCeB12 (a PBE-relaxed structure; a wavelength of 1.5418 Å).
Lines closer than 0.1° are merged.

Structure:
Cell: 5.897 5.897 5.897 Å, 60.00 60.00 60.00°
Fractional coordinates of all 14 atoms:
K 0.000 0.000 0.000
Ce 0.500 0.500 0.500
B 0.101 0.101 0.399
B 0.101 0.399 0.101
B 0.101 0.399 0.399
B 0.399 0.101 0.101
B 0.399 0.101 0.399
B 0.399 0.399 0.101
B 0.601 0.601 0.899
B 0.601 0.899 0.601
B 0.601 0.899 0.899
B 0.899 0.601 0.601
B 0.899 0.601 0.899
B 0.899 0.899 0.601

Principal peaks in the range 5° ≤ 2θ ≤ 70°, by angle:
two_theta	d_spacing	intensity
18.43	4.815	55.6
21.31	4.170	41.8
30.31	2.948	100.0
35.71	2.514	33.3
37.35	2.407	43.3
43.40	2.085	22.3
47.53	1.913	15.5
48.84	1.865	45.8
53.86	1.702	20.1
67.37	1.390	28.4

Entry 9:
Structure and computed powder XRD pattern of KSi2Au2 (a PBE-relaxed structure; a wavelength of 1.5418 Å).
Lines closer than 0.1° are merged.

Structure:
Cell: 6.223 6.223 6.223 Å, 136.86 136.86 62.66°
Fractional coordinates of all 5 atoms:
K 0.000 0.000 0.000
Si 0.250 0.750 0.500
Si 0.750 0.250 0.500
Au 0.353 0.353 0.000
Au 0.647 0.647 0.000

Principal peaks in the range 5° ≤ 2θ ≤ 70°, by angle:
two_theta	d_spacing	intensity
21.14	4.203	61.7
27.57	3.236	61.6
31.94	2.802	100.0
39.38	2.288	41.2
44.09	2.054	31.1
45.12	2.010	18.7
51.57	1.772	55.2
56.92	1.618	14.0
59.48	1.554	15.2
66.77	1.401	17.5

Entry 10:
Structure and computed powder XRD pattern of MnGaPPt (a PBE-relaxed structure; a wavelength of 1.5418 Å).
Lines closer than 0.1° are merged.

Structure:
Cell: 6.663 6.663 6.663 Å, 156.02 151.24 37.79°
Fractional coordinates of all 4 atoms:
Mn 0.000 0.000 0.000
Ga 0.172 0.672 0.500
P 0.444 0.444 0.000
Pt 0.800 0.300 0.500

Principal peaks in the range 5° ≤ 2θ ≤ 70°, by angle:
two_theta	d_spacing	intensity
14.05	6.304	100.0
27.87	3.201	59.8
33.13	2.704	30.7
34.50	2.600	69.7
38.96	2.312	75.4
42.58	2.123	24.3
43.05	2.101	24.0
45.05	2.012	96.4
45.21	2.006	56.9
69.91	1.346	26.4

Entry 11:
Structure and computed powder XRD pattern of La2CeNd4 (a PBE-relaxed structure; a wavelength of 1.5418 Å).
Lines closer than 0.1° are merged.

Structure:
Cell: 3.683 3.683 20.973 Å, 90.03 90.03 60.00°
Fractional coordinates of all 7 atoms:
La 0.000 0.000 0.000
La 0.001 0.001 0.712
Ce 0.002 0.002 0.283
Nd 0.333 0.333 0.857
Nd 0.337 0.337 0.565
Nd 0.668 0.668 0.145
Nd 0.670 0.670 0.423

Principal peaks in the range 5° ≤ 2θ ≤ 70°, by angle:
two_theta	d_spacing	intensity
28.30	3.153	38.4
29.82	2.996	50.8
30.81	2.902	100.0
32.87	2.725	84.6
38.20	2.356	16.7
49.49	1.842	38.0
52.20	1.752	22.1
56.21	1.637	17.8
58.86	1.569	44.3
59.44	1.555	15.4

Entry 12:
Structure and computed powder XRD pattern of LiPm3Si6Pt2 (a PBE-relaxed structure; a wavelength of 1.5418 Å).
Lines closer than 0.1° are merged.

Structure:
Cell: 5.853 5.853 8.056 Å, 90.00 90.00 120.00°
Fractional coordinates of all 12 atoms:
Li 0.000 0.000 0.000
Pm 0.000 0.000 0.500
Pm 0.333 0.667 0.133
Pm 0.667 0.333 0.867
Si 0.195 0.390 0.788
Si 0.195 0.805 0.788
Si 0.390 0.195 0.212
Si 0.610 0.805 0.788
Si 0.805 0.195 0.212
Si 0.805 0.610 0.212
Pt 0.333 0.667 0.536
Pt 0.667 0.333 0.464

Principal peaks in the range 5° ≤ 2θ ≤ 70°, by angle:
two_theta	d_spacing	intensity
10.98	8.056	40.9
17.49	5.069	22.6
28.30	3.154	52.2
30.54	2.927	100.0
32.55	2.751	29.2
33.37	2.685	26.6
38.00	2.368	49.2
42.12	2.145	28.6
45.86	1.979	45.0
52.92	1.730	22.7